1.
The following is a theoretical powder diffraction line list of ZnO2. It was derived from the GGA-PBE geometry in the Materials Project, using λ = 1.5418 Å (Cu Kα).
Lines closer than 0.1° are merged.

Largest 12 diffraction maxima, in order of rising 2θ, 10° ≤ 2θ ≤ 80°:
Position (°2θ)	intensity
22.0	815
33.0	453
40.0	1000
44.8	37
56.7	443
58.9	264
63.7	233
69.2	55
69.7	21
73.6	143
76.9	53
79.3	130

Cell and atoms:
Cell lengths 3.1348, 3.1348, 4.0486 Å; angles 90.00, 90.00, 120.00 degrees
Space group P-3m1 (No. 164)
One atom of each set of equivalent atoms:
Zn 0.0000 0.0000 0.0000 [1 per cell]
O 0.3333 0.6667 0.2320 [2 per cell]


2.
The following is a theoretical powder diffraction line list of ZrO2. It was derived from the GGA-PBE geometry in the Materials Project, using λ = 1.5418 Å (Cu Kα).
Lines closer than 0.1° are merged.

Largest 12 diffraction maxima, in order of rising 2θ, 10° ≤ 2θ ≤ 80°:
Position (°2θ)	intensity
13.0	386
13.8	305
23.1	1000
26.1	660
27.1	399
30.4	301
30.7	304
39.6	240
40.4	257
44.8	328
53.0	292
55.8	251

Cell and atoms:
Cell lengths 13.390, 4.043, 7.118 Å; angles 90.00, 106.56, 90.00 degrees
Space group C2/m (No. 12)
One atom of each set of equivalent atoms:
Zr 0.100 0.000 0.210 [4 per cell]
Zr 0.195 0.000 0.787 [4 per cell]
O 0.060 0.000 0.878 [4 per cell]
O 0.132 0.000 0.504 [4 per cell]
O 0.142 0.500 0.206 [4 per cell]
O 0.241 0.500 0.854 [4 per cell]


3.
The following is a theoretical powder diffraction line list of ZrO2. It was derived from the GGA-PBE geometry in the Materials Project, using λ = 1.5418 Å (Cu Kα).
Lines closer than 0.1° are merged.

Largest 12 diffraction maxima, in order of rising 2θ, 10° ≤ 2θ ≤ 80°:
Position (°2θ)	intensity
30.1	1000
34.7	221
35.2	116
43.3	51
43.7	45
49.3	117
49.9	139
50.3	284
59.4	174
60.0	156
62.5	47
64.0	92

Cell and atoms:
Cell lengths 8.172, 8.172, 5.097 Å; angles 90.00, 90.00, 90.00 degrees
Space group P4/n (No. 85, origin choice 2)
One atom of each set of equivalent atoms:
Zr 0.076 0.617 0.246 [8 per cell]
Zr 0.250 0.250 0.181 [2 per cell]
O 0.043 0.161 0.924 [8 per cell]
O 0.045 0.360 0.387 [8 per cell]
O 0.250 0.750 0.000 [2 per cell]
O 0.250 0.750 0.500 [2 per cell]


4.
The following is a theoretical powder diffraction line list of ZrO2. It was derived from the GGA-PBE geometry in the Materials Project, using λ = 1.5418 Å (Cu Kα).
Lines closer than 0.1° are merged.

Largest 12 diffraction maxima, in order of rising 2θ, 10° ≤ 2θ ≤ 80°:
Position (°2θ)	intensity
23.4	1000
33.2	366
35.4	268
44.6	245
47.7	197
51.0	221
56.7	240
60.8	123
64.9	71
67.4	126
74.9	85
76.2	67

Cell and atoms:
Cell lengths 4.063, 4.063, 10.785 Å; angles 90.00, 90.00, 90.00 degrees
Space group I4_1/amd (No. 141, origin choice 2)
One atom of each set of equivalent atoms:
Zr 0.000 0.250 0.375 [4 per cell]
O 0.000 0.250 0.173 [8 per cell]


5.
The following is a theoretical powder diffraction line list of ZrO2. It was derived from the GGA-PBE geometry in the Materials Project, using λ = 1.5418 Å (Cu Kα).
Lines closer than 0.1° are merged.

Largest 12 diffraction maxima, in order of rising 2θ, 10° ≤ 2θ ≤ 80°:
Position (°2θ)	intensity
29.7	1000
33.7	93
34.8	133
42.1	18
49.3	366
50.1	195
57.9	144
59.3	267
61.7	72
67.4	6
70.9	21
73.5	55

Cell and atoms:
Cell lengths 3.644, 3.644, 5.315 Å; angles 90.00, 90.00, 90.00 degrees
Space group P4_2/nmc (No. 137, origin choice 2)
One atom of each set of equivalent atoms:
Zr 0.250 0.750 0.250 [2 per cell]
O 0.250 0.250 0.056 [4 per cell]


6.
The following is a theoretical powder diffraction line list of ZrO2. It was derived from the GGA-PBE geometry in the Materials Project, using λ = 1.5418 Å (Cu Kα).
Lines closer than 0.1° are merged.

Largest 6 diffraction maxima, in order of rising 2θ, 10° ≤ 2θ ≤ 80°:
Position (°2θ)	intensity
30.1	1000
34.8	205
50.1	602
59.5	407
62.5	60
73.6	85

Cell and atoms:
Cell lengths 5.150, 5.150, 5.150 Å; angles 90.00, 90.00, 90.00 degrees
Space group Fm-3m (No. 225)
One atom of each set of equivalent atoms:
Zr 0.000 0.000 0.000 [4 per cell]
O 0.250 0.250 0.250 [8 per cell]


7.
The following is a theoretical powder diffraction line list of ZrO2. It was derived from the GGA-PBE geometry in the Materials Project, using λ = 1.5418 Å (Cu Kα).
Lines closer than 0.1° are merged.

Largest 12 diffraction maxima, in order of rising 2θ, 10° ≤ 2θ ≤ 80°:
Position (°2θ)	intensity
29.6	499
31.5	959
31.8	485
33.7	1000
44.0	637
49.5	390
52.2	152
54.1	239
56.4	295
57.9	299
60.0	357
64.0	254

Cell and atoms:
Cell lengths 5.633, 3.388, 6.589 Å; angles 90.00, 90.00, 90.00 degrees
Space group Pnma (No. 62)
One atom of each set of equivalent atoms:
Zr 0.248 0.250 0.108 [4 per cell]
O 0.022 0.750 0.341 [4 per cell]
O 0.139 0.750 0.923 [4 per cell]


8.
The following is a theoretical powder diffraction line list of ZrO2. It was derived from the GGA-PBE geometry in the Materials Project, using λ = 1.5418 Å (Cu Kα).
Lines closer than 0.1° are merged.

Largest 12 diffraction maxima, in order of rising 2θ, 10° ≤ 2θ ≤ 80°:
Position (°2θ)	intensity
17.9	181
19.4	1000
26.7	631
33.7	130
34.3	365
34.4	203
35.0	153
43.1	413
45.9	136
51.7	139
53.7	140
54.4	138

Cell and atoms:
Cell lengths 6.233, 9.020, 5.807 Å; angles 90.00, 121.51, 90.00 degrees
Space group C2/m (No. 12)
One atom of each set of equivalent atoms:
Zr 0.000 0.000 0.000 [2 per cell]
Zr 0.000 0.184 0.500 [4 per cell]
O 0.172 0.000 0.768 [4 per cell]
O 0.207 0.169 0.290 [8 per cell]